# 1
# Ta5Ir4Pt2
Calculated X-ray diffraction stick pattern, Cu Kα. Input: DFT lattice parameters and positions (GGA-PBE).

Principal peaks in the range 2θ = 5–70°, by angle:
2θ/deg, I_rel
36.32, 779
37.38, 447
38.04, 307
38.80, 829
40.55, 1000
41.07, 367
43.83, 300
44.15, 272
46.22, 268
48.31, 480

Crystal structure
a b c (Å): 6.387 15.279 3.768
angles (deg): 90.00 90.00 90.00
Positions (direct):
1 Ta 0.000 0.000 0.000
2 Ta 0.110 0.414 0.000
3 Ta 0.195 0.188 0.000
4 Ta 0.305 0.688 0.000
5 Ta 0.390 0.914 0.000
6 Ta 0.500 0.500 0.000
7 Ta 0.610 0.086 0.000
8 Ta 0.695 0.312 0.000
9 Ta 0.805 0.812 0.000
10 Ta 0.890 0.586 0.000
11 Ir 0.097 0.874 0.500
12 Ir 0.197 0.546 0.500
13 Ir 0.303 0.046 0.500
14 Ir 0.403 0.374 0.500
15 Ir 0.597 0.626 0.500
16 Ir 0.697 0.954 0.500
17 Ir 0.803 0.454 0.500
18 Ir 0.903 0.126 0.500
19 Pt 0.006 0.294 0.500
20 Pt 0.494 0.794 0.500
21 Pt 0.506 0.206 0.500
22 Pt 0.994 0.706 0.500

# 2
# Tb6IrPt3
Calculated X-ray diffraction stick pattern, Cu Kα. Input: DFT lattice parameters and positions (GGA-PBE).

Principal peaks in the range 2θ = 5–70°, by angle:
2θ/deg, I_rel
18.13, 169
30.68, 385
30.94, 205
32.01, 136
36.52, 661
36.74, 282
36.89, 542
37.54, 1000
53.05, 198
66.91, 312

Crystal structure
a b c (Å): 8.255 12.148 4.873
angles (deg): 90.00 90.00 90.00
Positions (direct):
1 Tb 0.000 0.242 0.000
2 Tb 0.000 0.758 0.000
3 Tb 0.147 0.405 0.500
4 Tb 0.176 0.073 0.500
5 Tb 0.324 0.573 0.000
6 Tb 0.353 0.905 0.000
7 Tb 0.500 0.258 0.500
8 Tb 0.500 0.742 0.500
9 Tb 0.647 0.095 0.000
10 Tb 0.676 0.427 0.000
11 Tb 0.824 0.927 0.500
12 Tb 0.853 0.595 0.500
13 Ir 0.000 0.500 0.000
14 Ir 0.500 0.000 0.500
15 Pt 0.000 0.000 0.000
16 Pt 0.166 0.827 0.500
17 Pt 0.334 0.327 0.000
18 Pt 0.500 0.500 0.500
19 Pt 0.666 0.673 0.000
20 Pt 0.834 0.173 0.500

# 3
# Tc2IrPt8
Calculated X-ray diffraction stick pattern, Cu Kα. Input: DFT lattice parameters and positions (GGA-PBE).

Principal peaks in the range 2θ = 5–70°, by angle:
2θ/deg, I_rel
13.72, 71
29.82, 80
35.46, 51
40.17, 1000
46.26, 173
46.67, 155
47.23, 158
67.82, 102
68.26, 106
68.58, 96

Crystal structure
a b c (Å): 7.234 7.234 7.234
angles (deg): 148.52 114.90 74.11
Positions (direct):
1 Tc 0.169 0.169 0.000
2 Tc 0.831 0.831 0.000
3 Ir 0.500 0.500 0.000
4 Pt 0.080 0.341 0.740
5 Pt 0.228 0.000 0.228
6 Pt 0.330 0.830 0.500
7 Pt 0.399 0.659 0.740
8 Pt 0.601 0.341 0.260
9 Pt 0.670 0.170 0.500
10 Pt 0.772 0.000 0.772
11 Pt 0.920 0.659 0.260

# 4
# TcIr4Pt
Calculated X-ray diffraction stick pattern, Cu Kα. Input: DFT lattice parameters and positions (GGA-PBE).

Principal peaks in the range 2θ = 5–70°, by angle:
2θ/deg, I_rel
15.22, 16
22.85, 8
24.16, 18
33.49, 11
38.63, 11
40.20, 1000
46.67, 165
46.81, 324
68.24, 212
68.36, 105

Crystal structure
a b c (Å): 3.883 11.640 3.893
angles (deg): 90.00 90.00 90.00
Positions (direct):
1 Tc 0.000 0.000 0.000
2 Tc 0.500 0.500 0.000
3 Ir 0.000 0.170 0.500
4 Ir 0.000 0.337 0.000
5 Ir 0.000 0.663 0.000
6 Ir 0.000 0.830 0.500
7 Ir 0.500 0.163 0.000
8 Ir 0.500 0.330 0.500
9 Ir 0.500 0.670 0.500
10 Ir 0.500 0.837 0.000
11 Pt 0.000 0.500 0.500
12 Pt 0.500 0.000 0.500

# 5
# Th6TeIr3Pt2
Calculated X-ray diffraction stick pattern, Cu Kα. Input: DFT lattice parameters and positions (GGA-PBE).

Principal peaks in the range 2θ = 5–70°, by angle:
2θ/deg, I_rel
29.85, 1000
41.42, 138
42.28, 247
43.20, 245
43.90, 123
51.13, 66
52.71, 67
54.03, 129
61.93, 82
68.44, 54

Crystal structure
a b c (Å): 9.516 9.516 8.725
angles (deg): 104.91 104.91 25.03
Positions (direct):
1 Th 0.002 0.002 0.223
2 Th 0.321 0.321 0.418
3 Th 0.336 0.336 0.911
4 Th 0.664 0.664 0.089
5 Th 0.679 0.679 0.582
6 Th 0.998 0.998 0.777
7 Te 0.500 0.500 0.500
8 Ir 0.163 0.163 0.332
9 Ir 0.500 0.500 0.000
10 Ir 0.837 0.837 0.668
11 Pt 0.168 0.168 0.834
12 Pt 0.832 0.832 0.166

# 6
# Th8Te4Ir3Pt
Calculated X-ray diffraction stick pattern, Cu Kα. Input: DFT lattice parameters and positions (GGA-PBE).

Principal peaks in the range 2θ = 5–70°, by angle:
2θ/deg, I_rel
11.51, 189
28.94, 1000
36.74, 121
39.83, 326
42.90, 382
50.16, 90
52.58, 195
57.75, 70
59.97, 100
65.74, 91

Crystal structure
a b c (Å): 9.101 9.101 9.101
angles (deg): 55.19 55.19 55.19
Positions (direct):
1 Th 0.229 0.737 0.737
2 Th 0.235 0.235 0.235
3 Th 0.263 0.263 0.771
4 Th 0.263 0.771 0.263
5 Th 0.737 0.229 0.737
6 Th 0.737 0.737 0.229
7 Th 0.765 0.765 0.765
8 Th 0.771 0.263 0.263
9 Te 0.000 0.000 0.000
10 Te 0.000 0.500 0.500
11 Te 0.500 0.000 0.500
12 Te 0.500 0.500 0.000
13 Ir 0.000 0.000 0.500
14 Ir 0.000 0.500 0.000
15 Ir 0.500 0.000 0.000
16 Pt 0.500 0.500 0.500

Number 5 is which compound?
Th6TeIr3Pt2